(1)
Theoretical powder X-ray diffraction pattern of HoTlP2S8 for λ = 1.5418 Å (Cu Kα), from a PBE-relaxed structure.
Kinematic intensities with the Lorentz-polarization factor, no thermal factor.

Most intense lines, 2θ from 15° to 90°, in order of rising 2θ:
- 2θ = 17.84°, rel. 46, hkl 0 1 2
- 2θ = 21.11°, rel. 100, hkl 1 0 4
- 2θ = 28.98°, rel. 43, hkl 1 1 0
- 2θ = 31.05°, rel. 34, hkl 0 1 8
- 2θ = 35.15°, rel. 62, hkl 2 -1 6
- 2θ = 49.73°, rel. 35, hkl 1 1 12

Structural model:
Lattice parameters (Å, degrees): 6.1618 6.1618 27.3685 90.00 90.00 120.00
Space group R-3 (No. 148, hexagonal axes)
Asymmetric unit:
Ho (0.0000, 0.0000, 0.0000) x3
Tl (0.0000, 0.0000, 0.5000) x3
P (0.0000, 0.0000, 0.2546) x6
S (0.0000, 0.0000, 0.1803) x6
S (0.0028, 0.3696, 0.0576) x18


(2)
Theoretical powder X-ray diffraction pattern of LiBPd3 for λ = 1.5418 Å (Cu Kα), from a PBE-relaxed structure.
Kinematic intensities with the Lorentz-polarization factor, no thermal factor.

Most intense lines, 2θ from 15° to 90°, in order of rising 2θ:
- 2θ = 17.87°, rel. 50, hkl 0 1 0
- 2θ = 25.21°, rel. 45, hkl 0 1 2
- 2θ = 38.17°, rel. 58, hkl 2 1 -1
- 2θ = 38.40°, rel. 66, hkl 2 1 1
- 2θ = 39.60°, rel. 47, hkl 1 0 4
- 2θ = 40.53°, rel. 100, hkl 0 2 2

Structural model:
Lattice parameters (Å, degrees): 5.538 4.965 10.054 90.00 90.84 90.00
Space group P2/c (No. 13)
Asymmetric unit:
Li (0.238, 0.019, 0.199) x4
B (0.423, 0.347, 0.883) x4
Pd (0.104, 0.246, 0.961) x4
Pd (0.251, 0.477, 0.708) x4
Pd (0.380, 0.237, 0.449) x4


(3)
Theoretical powder X-ray diffraction pattern of NaSn2Hg for λ = 1.5418 Å (Cu Kα), from a PBE-relaxed structure.
Kinematic intensities with the Lorentz-polarization factor, no thermal factor.

Most intense lines, 2θ from 15° to 90°, in order of rising 2θ:
- 2θ = 16.04°, rel. 74, hkl 0 0 1
- 2θ = 32.65°, rel. 39, hkl 1 1 1
- 2θ = 32.95°, rel. 39, hkl 1 1 -2
- 2θ = 37.49°, rel. 100, hkl 1 3 0
- 2θ = 38.57°, rel. 54, hkl 0 2 2
- 2θ = 39.19°, rel. 43, hkl 2 0 -1

Structural model:
Lattice parameters (Å, degrees): 4.597 8.724 5.964 90.00 112.09 90.00
Space group P2_1/m (No. 11)
Asymmetric unit:
Na (0.065, 0.250, 0.127) x2
Sn (0.363, 0.049, 0.729) x4
Hg (0.228, 0.750, 0.457) x2


(4)
Theoretical powder X-ray diffraction pattern of Fe4Te3Se for λ = 1.5418 Å (Cu Kα), from a PBE-relaxed structure.
Kinematic intensities with the Lorentz-polarization factor, no thermal factor.

Most intense lines, 2θ from 15° to 90°, in order of rising 2θ:
- 2θ = 28.17°, rel. 100, hkl 1 0 2
- 2θ = 37.80°, rel. 21, hkl 1 1 2
- 2θ = 44.85°, rel. 60, hkl 1 1 4
- 2θ = 48.32°, rel. 18, hkl 1 0 6
- 2θ = 50.61°, rel. 23, hkl 2 0 0
- 2θ = 58.93°, rel. 24, hkl 2 1 2

Structural model:
Lattice parameters (Å, degrees): 3.607 3.607 13.251 90.00 90.00 90.00
Space group P4mm (No. 99)
Asymmetric unit:
Fe (0.000, 0.500, 0.000) x2
Fe (0.000, 0.500, 0.486) x2
Te (0.000, 0.000, 0.344) x1
Te (0.000, 0.000, 0.861) x1
Te (0.500, 0.500, 0.628) x1
Se (0.500, 0.500, 0.120) x1


(5)
Theoretical powder X-ray diffraction pattern of AcLaDy3 for λ = 1.5418 Å (Cu Kα), from a PBE-relaxed structure.
Kinematic intensities with the Lorentz-polarization factor, no thermal factor.

Most intense lines, 2θ from 15° to 90°, in order of rising 2θ:
- 2θ = 27.60°, rel. 36, hkl 0 2 0
- 2θ = 30.36°, rel. 37, hkl 2 0 2
- 2θ = 31.54°, rel. 100, hkl 3 1 -2
- 2θ = 31.66°, rel. 50, hkl 1 1 -4
- 2θ = 48.77°, rel. 20, hkl 2 3 -3
- 2θ = 54.66°, rel. 21, hkl 5 1 0

Structural model:
Lattice parameters (Å, degrees): 9.518 6.474 12.606 90.00 113.94 90.00
Space group P2_1/c (No. 14)
Asymmetric unit:
Ac (0.155, 0.172, 0.103) x4
La (0.262, 0.666, 0.002) x4
Dy (0.051, 0.665, 0.204) x4
Dy (0.352, 0.161, 0.900) x4
Dy (0.447, 0.674, 0.800) x4


(6)
Theoretical powder X-ray diffraction pattern of La5Pm5Pr for λ = 1.5418 Å (Cu Kα), from a PBE-relaxed structure.
Kinematic intensities with the Lorentz-polarization factor, no thermal factor.

Most intense lines, 2θ from 15° to 90°, in order of rising 2θ:
- 2θ = 27.98°, rel. 100, hkl 1 0 3
- 2θ = 28.19°, rel. 88, hkl 1 1 0
- 2θ = 29.22°, rel. 31, hkl 1 1 1
- 2θ = 33.57°, rel. 36, hkl 2 0 1
- 2θ = 34.62°, rel. 32, hkl 1 0 4
- 2θ = 49.77°, rel. 39, hkl 2 1 3

Structural model:
Lattice parameters (Å, degrees): 6.3312 6.3312 11.7615 90.00 90.00 120.00
Space group P-6m2 (No. 187)
Asymmetric unit:
La (0.0000, 0.0000, 0.0000) x1
La (0.3333, 0.6667, 0.3236) x2
La (0.6667, 0.3333, 0.1568) x2
Pm (0.0000, 0.0000, 0.2657) x2
Pm (0.3371, 0.1685, 0.5000) x3
Pr (0.3333, 0.6667, 0.0000) x1


(7)
Theoretical powder X-ray diffraction pattern of Cs2O for λ = 1.5418 Å (Cu Kα), from a PBE-relaxed structure.
Kinematic intensities with the Lorentz-polarization factor, no thermal factor.

Most intense lines, 2θ from 15° to 90°, in order of rising 2θ:
- 2θ = 24.26°, rel. 27, hkl 0 0 6
- 2θ = 25.41°, rel. 100, hkl 0 1 2
- 2θ = 29.09°, rel. 85, hkl 1 0 4
- 2θ = 40.88°, rel. 21, hkl 0 1 8
- 2θ = 42.33°, rel. 34, hkl 1 1 0
- 2θ = 49.38°, rel. 24, hkl 1 1 6

Structural model:
Lattice parameters (Å, degrees): 4.2704 4.2704 22.0134 90.00 90.00 120.00
Space group R-3m (No. 166, hexagonal axes)
Asymmetric unit:
Cs (0.0000, 0.0000, 0.2353) x6
O (0.0000, 0.0000, 0.5000) x3


(8)
Theoretical powder X-ray diffraction pattern of ErThGa4 for λ = 1.5418 Å (Cu Kα), from a PBE-relaxed structure.
Kinematic intensities with the Lorentz-polarization factor, no thermal factor.

Most intense lines, 2θ from 15° to 90°, in order of rising 2θ:
- 2θ = 27.95°, rel. 39, hkl 1 0 3
- 2θ = 32.46°, rel. 100, hkl 1 1 2
- 2θ = 37.32°, rel. 49, hkl 1 0 5
- 2θ = 42.99°, rel. 37, hkl 2 0 0
- 2θ = 48.46°, rel. 24, hkl 1 0 7
- 2θ = 58.21°, rel. 27, hkl 2 1 5

Structural model:
Lattice parameters (Å, degrees): 4.208 4.208 14.694 90.00 90.00 90.00
Space group I-4m2 (No. 119)
Asymmetric unit:
Er (0.000, 0.000, 0.000) x2
Th (0.000, 0.500, 0.750) x2
Ga (0.000, 0.000, 0.418) x4
Ga (0.000, 0.500, 0.166) x4


Please write out number 8 again, unchanged.
Theoretical powder X-ray diffraction pattern of ErThGa4 for λ = 1.5418 Å (Cu Kα), from a PBE-relaxed structure.
Kinematic intensities with the Lorentz-polarization factor, no thermal factor.

Most intense lines, 2θ from 15° to 90°, in order of rising 2θ:
- 2θ = 27.95°, rel. 39, hkl 1 0 3
- 2θ = 32.46°, rel. 100, hkl 1 1 2
- 2θ = 37.32°, rel. 49, hkl 1 0 5
- 2θ = 42.99°, rel. 37, hkl 2 0 0
- 2θ = 48.46°, rel. 24, hkl 1 0 7
- 2θ = 58.21°, rel. 27, hkl 2 1 5

Structural model:
Lattice parameters (Å, degrees): 4.208 4.208 14.694 90.00 90.00 90.00
Space group I-4m2 (No. 119)
Asymmetric unit:
Er (0.000, 0.000, 0.000) x2
Th (0.000, 0.500, 0.750) x2
Ga (0.000, 0.000, 0.418) x4
Ga (0.000, 0.500, 0.166) x4


Copy entry 8 word for word.
Theoretical powder X-ray diffraction pattern of ErThGa4 for λ = 1.5418 Å (Cu Kα), from a PBE-relaxed structure.
Kinematic intensities with the Lorentz-polarization factor, no thermal factor.

Most intense lines, 2θ from 15° to 90°, in order of rising 2θ:
- 2θ = 27.95°, rel. 39, hkl 1 0 3
- 2θ = 32.46°, rel. 100, hkl 1 1 2
- 2θ = 37.32°, rel. 49, hkl 1 0 5
- 2θ = 42.99°, rel. 37, hkl 2 0 0
- 2θ = 48.46°, rel. 24, hkl 1 0 7
- 2θ = 58.21°, rel. 27, hkl 2 1 5

Structural model:
Lattice parameters (Å, degrees): 4.208 4.208 14.694 90.00 90.00 90.00
Space group I-4m2 (No. 119)
Asymmetric unit:
Er (0.000, 0.000, 0.000) x2
Th (0.000, 0.500, 0.750) x2
Ga (0.000, 0.000, 0.418) x4
Ga (0.000, 0.500, 0.166) x4